Starting from DFT lattice parameters and positions (GGA+U), the X-ray powder pattern of Li2MnH4S2O10 was simulated for Cu Kα X-rays.
Kinematic intensities with the Lorentz-polarization factor, no thermal factor.

Peak list (12 most intense, 10° ≤ 2θ ≤ 90°, by angle)
Position (°2θ), I_rel
13.2, 75.6
16.5, 40.3
17.8, 19.9
21.2, 30.6
25.3, 88.7
25.6, 100.0
25.9, 42.0
28.1, 53.0
32.5, 28.8
34.5, 24.6
44.4, 21.4
51.9, 18.6

Structure:
```
data_Li2MnH4S2O10
_cell_length_a 5.422
_cell_length_b 13.441
_cell_length_c 5.555
_cell_angle_alpha 90.00
_cell_angle_beta 97.95
_cell_angle_gamma 90.00
_symmetry_space_group_name_H-M 'P 1'
_symmetry_Int_Tables_number 1
_symmetry_space_group_name_Hall 'P 1'
loop_
_atom_site_label
_atom_site_fract_x
_atom_site_fract_y
_atom_site_fract_z
_atom_site_occupancy
Li1 0.160 0.114 0.325 1
Li2 0.160 0.386 0.825 1
Li3 0.840 0.614 0.175 1
Li4 0.840 0.886 0.675 1
Mn1 0.500 0.000 0.000 1
Mn2 0.500 0.500 0.500 1
H1 0.151 0.151 0.851 1
H2 0.151 0.349 0.351 1
H3 0.385 0.202 0.007 1
H4 0.385 0.298 0.507 1
H5 0.615 0.702 0.493 1
H6 0.615 0.798 0.993 1
H7 0.849 0.651 0.649 1
H8 0.849 0.849 0.149 1
S1 0.267 0.613 0.979 1
S2 0.267 0.887 0.479 1
S3 0.733 0.113 0.521 1
S4 0.733 0.387 0.021 1
O1 0.041 0.675 0.904 1
O2 0.041 0.825 0.404 1
O3 0.229 0.567 0.219 1
O4 0.229 0.933 0.719 1
O5 0.279 0.531 0.796 1
O6 0.279 0.969 0.296 1
O7 0.281 0.141 0.996 1
O8 0.281 0.359 0.496 1
O9 0.499 0.672 0.003 1
O10 0.499 0.828 0.503 1
O11 0.501 0.172 0.497 1
O12 0.501 0.328 0.997 1
O13 0.719 0.641 0.504 1
O14 0.719 0.859 0.004 1
O15 0.721 0.031 0.704 1
O16 0.721 0.469 0.204 1
O17 0.771 0.067 0.281 1
O18 0.771 0.433 0.781 1
O19 0.959 0.175 0.596 1
O20 0.959 0.325 0.096 1
```